For Li4ZrPb5, a structure optimized by DFT (GGA-PBE) gives the computed PXRD pattern in this record (Cu Kα, 1.54184 Å).
Kinematic intensities with the Lorentz-polarization factor, no thermal factor.

Principal peaks in the range 2θ = 10–80°, most intense first:
two_theta	d (Å)	I/Imax
35.1	2.556	100.0
25.6	3.478	74.0
36.5	2.459	47.3
23.6	3.769	42.2
64.9	1.438	34.7
44.0	2.060	34.5

Atomic structure:
```
Li4ZrPb5
1.0
3.4776 0.0000 0.0000
0.0000 3.4776 0.0000
0.0000 0.0000 18.8469
Li Zr Pb
4 1 5
Direct
0.0000 0.0000 0.0969
0.0000 0.0000 0.2938
0.0000 0.0000 0.7062
0.0000 0.0000 0.9031
0.0000 0.0000 0.5000
0.5000 0.5000 0.0000
0.5000 0.5000 0.1955
0.5000 0.5000 0.3891
0.5000 0.5000 0.6109
0.5000 0.5000 0.8045
```


For LiZr2Pb, a structure optimized by DFT (GGA-PBE) gives the computed PXRD pattern in this record (Cu Kα, 1.54184 Å).
Kinematic intensities with the Lorentz-polarization factor, no thermal factor.

Principal peaks in the range 2θ = 10–80°, most intense first:
two_theta	d (Å)	I/Imax
34.3	2.617	100.0
36.2	2.480	85.3
14.5	6.109	83.7
40.1	2.249	64.4
25.5	3.487	59.6
59.9	1.544	39.5

Atomic structure:
```
LiZr2Pb
1.0
3.3238 0.0000 0.0000
0.0000 4.2461 0.0000
0.0000 0.0000 6.1088
Li Zr Pb
1 2 1
Direct
0.0000 0.0000 0.0000
0.5000 0.5000 0.2398
0.5000 0.5000 0.7602
0.0000 0.0000 0.5000
```


For Li17Pd2, a structure optimized by DFT (GGA-PBE) gives the computed PXRD pattern in this record (Cu Kα, 1.54184 Å).
Kinematic intensities with the Lorentz-polarization factor, no thermal factor.

Principal peaks in the range 2θ = 10–80°, most intense first:
two_theta	d (Å)	I/Imax
16.2	5.469	100.0
23.2	3.831	46.6
37.0	2.427	32.6
22.8	3.904	29.4
26.7	3.338	22.4
28.4	3.138	21.6

Atomic structure:
```
Li17Pd2
1.0
3.8309 2.2118 6.4374
-3.8309 2.2118 6.4374
0.0000 -4.4235 6.4374
Li Pd
17 2
Direct
0.0000 0.0000 0.5000
0.0000 0.3241 0.6759
0.0000 0.5000 0.0000
0.0000 0.6759 0.3241
0.0869 0.0869 0.0869
0.1903 0.5663 0.5663
0.3241 0.0000 0.6759
0.3241 0.6759 0.0000
0.4337 0.4337 0.8097
0.4337 0.8097 0.4337
0.5000 0.0000 0.0000
0.5663 0.1903 0.5663
0.5663 0.5663 0.1903
0.6759 0.0000 0.3241
0.6759 0.3241 0.0000
0.8097 0.4337 0.4337
0.9131 0.9131 0.9131
0.2791 0.2791 0.2791
0.7209 0.7209 0.7209
```


For Li3Pd4, a structure optimized by DFT (GGA-PBE) gives the computed PXRD pattern in this record (Cu Kα, 1.54184 Å).
Kinematic intensities with the Lorentz-polarization factor, no thermal factor.

Principal peaks in the range 2θ = 10–80°, most intense first:
two_theta	d (Å)	I/Imax
29.5	3.024	100.0
42.2	2.144	76.8
42.4	2.133	74.2
61.3	1.512	24.4
77.4	1.233	23.1
52.5	1.743	18.1

Atomic structure:
```
Li3Pd4
1.0
5.6430 3.2580 1.7547
-5.6430 3.2580 1.7547
0.0000 -6.5160 1.7547
Li Pd
6 8
Direct
0.0491 0.6334 0.7671
0.2329 0.9509 0.3666
0.3666 0.2329 0.9509
0.6334 0.7671 0.0491
0.7671 0.0491 0.6334
0.9509 0.3666 0.2329
0.0000 0.0000 0.0000
0.1273 0.2729 0.5700
0.2729 0.5700 0.1273
0.4300 0.8727 0.7271
0.5000 0.5000 0.5000
0.5700 0.1273 0.2729
0.7271 0.4300 0.8727
0.8727 0.7271 0.4300
```


For Li3Pd8, a structure optimized by DFT (GGA-PBE) gives the computed PXRD pattern in this record (Cu Kα, 1.54184 Å).
Kinematic intensities with the Lorentz-polarization factor, no thermal factor.

Principal peaks in the range 2θ = 10–80°, most intense first:
two_theta	d (Å)	I/Imax
40.2	2.245	100.0
25.4	3.509	18.0
46.3	1.962	16.5
46.7	1.944	16.1
47.1	1.928	15.7
68.2	1.375	10.1

Atomic structure:
```
Li3Pd8
1.0
4.3753 -1.9282 0.0000
4.3753 1.9282 0.0000
-2.5457 0.0000 9.5889
Li Pd
3 8
Direct
0.0000 0.0000 0.0000
0.0908 0.0908 0.6410
0.9092 0.9092 0.3590
0.1857 0.1857 0.2732
0.2738 0.2738 0.9106
0.3651 0.3651 0.5449
0.4568 0.4568 0.1831
0.5432 0.5432 0.8169
0.6349 0.6349 0.4551
0.7262 0.7262 0.0894
0.8143 0.8143 0.7268
```


For Li2Pd3, a structure optimized by DFT (GGA-PBE) gives the computed PXRD pattern in this record (Cu Kα, 1.54184 Å).
Kinematic intensities with the Lorentz-polarization factor, no thermal factor.

Principal peaks in the range 2θ = 10–80°, most intense first:
two_theta	d (Å)	I/Imax
40.4	2.231	100.0
23.3	3.822	40.7
32.6	2.748	36.9
46.8	1.943	33.5
68.9	1.362	20.5
52.9	1.732	17.3

Atomic structure:
```
Li2Pd3
1.0
6.1441 0.0000 0.0000
0.0000 6.1441 0.0000
0.0000 0.0000 3.8220
Li Pd
4 6
Direct
0.1126 0.6991 0.0000
0.3009 0.1126 0.0000
0.6991 0.8874 0.0000
0.8874 0.3009 0.0000
0.0000 0.0000 0.5000
0.1930 0.3980 0.5000
0.3980 0.8070 0.5000
0.5000 0.5000 0.0000
0.6020 0.1930 0.5000
0.8070 0.6020 0.5000
```